The following is a calculated PXRD pattern of Pr5Sb4O. It was derived from DFT lattice parameters and positions (PBE), using Cu Kα, 1.54184 Å.

Cell and atoms:
Unit cell a=7.657 b=7.657 c=7.657 alpha=100.10 beta=100.10 gamma=130.48
Fractional coordinates of all 10 atoms:
Pr 0.000 0.000 0.000
Pr 0.134 0.316 0.621
Pr 0.316 0.695 0.182
Pr 0.513 0.134 0.818
Pr 0.695 0.513 0.379
Sb 0.005 0.611 0.788
Sb 0.217 0.005 0.393
Sb 0.611 0.823 0.607
Sb 0.823 0.217 0.212
O 0.348 0.348 0.000

Main lines, by intensity (15 to 90 degrees two-theta):
2theta	Rel. int.
28.7	100.0
40.4	73.7
27.8	48.2
41.1	35.0
50.3	34.4
74.4	18.3
65.5	14.6
67.3	14.0
66.9	13.2
24.5	11.6